(1)
# BaNi2H6
Calculated X-ray powder pattern, λ = 1.5418 Å (Cu Kα). Input: a crystal structure in Alexandria, relaxed with PBE.
Intensities are scaled so that the largest is 100.

Cell and atoms:
a b c (Å): 8.6657 8.6657 8.6657
angles (deg): 90.00 90.00 90.00
Space group Fd-3m (No. 227, origin choice 2)
One atom of each set of equivalent atoms:
1 Ba 0.1250 0.1250 0.1250
2 Ni 0.0000 0.0000 0.5000
3 H 0.0694 0.3750 0.8750

Top 10 peaks for 2θ from 10° to 90°, in order of rising 2θ:
d (Å)  2θ (°)  Rel. int.  hkl
3.064  29.15  51  2 2 0
2.613  34.32  100  3 1 1
2.502  35.90  20  2 2 2
1.769  51.68  20  4 2 2
1.668  55.07  33  3 3 3
1.532  60.43  26  4 4 0
1.370  68.48  9  6 2 0
1.322  71.37  11  5 3 3
1.158  83.48  11  6 4 2
1.128  86.21  20  7 3 1


(2)
# BaNi4H7
Calculated X-ray powder pattern, λ = 1.5418 Å (Cu Kα). Input: a crystal structure in Alexandria, relaxed with PBE.
Intensities are scaled so that the largest is 100.

Cell and atoms:
a b c (Å): 3.6813 12.7211 4.6319
angles (deg): 90.00 90.00 90.00
Space group Pmmn (No. 59, origin choice 2)
One atom of each set of equivalent atoms:
1 Ba 0.2500 0.2500 0.2012
2 Ni 0.2500 0.5065 0.8113
3 Ni 0.2500 0.6194 0.3004
4 H 0.2500 0.0059 0.1754
5 H 0.2500 0.1199 0.7065
6 H 0.2500 0.6175 0.6461
7 H 0.2500 0.7500 0.2900

Top 10 peaks for 2θ from 10° to 90°, in order of rising 2θ:
d (Å)  2θ (°)  Rel. int.  hkl
3.128  28.54  53  0 3 1
2.882  31.03  16  1 0 1
2.780  32.20  56  1 3 0
2.625  34.16  100  1 2 1
2.316  38.89  26  0 0 2
2.230  40.45  23  0 5 1
1.873  48.61  18  1 2 2
1.841  49.52  21  2 0 0
1.779  51.35  19  1 3 2
1.708  53.67  29  1 6 1


(3)
# Ba2NpNi3H12
Calculated X-ray powder pattern, λ = 1.5418 Å (Cu Kα). Input: a crystal structure in Alexandria, relaxed with PBE.
Intensities are scaled so that the largest is 100.

Cell and atoms:
a b c (Å): 6.7175 6.7175 14.4973
angles (deg): 90.00 90.00 120.00
Space group R-3m (No. 166, hexagonal axes)
One atom of each set of equivalent atoms:
1 Ba 0.0000 0.0000 0.1150
2 Np 0.0000 0.0000 0.5000
3 Ni 0.0000 0.5000 0.0000
4 H 0.0167 0.5084 0.8909
5 H 0.1033 0.5516 0.3164

Top 10 peaks for 2θ from 10° to 90°, in order of rising 2θ:
d (Å)  2θ (°)  Rel. int.  hkl
4.537  19.57  33  0 1 2
3.359  26.54  77  1 1 0
2.758  32.46  100  1 1 3
2.700  33.19  50  2 0 2
2.595  34.56  60  0 1 5
1.800  50.73  29  0 3 3
1.752  52.21  37  1 2 5
1.679  54.65  28  2 2 0
1.538  60.16  18  2 0 8
1.410  66.29  18  3 1 5